Starting from a DFT-relaxed cell (GGA-PBE, Alexandria), the powder diffractogram of SmMg10Ag2 was calculated for Cu Ka.
Lines closer than 0.1° are merged.

Cell and atoms:
```
SmMg10Ag2
1.0
0.0000 7.1601 7.1766
2.8494 0.0000 7.1766
2.8494 7.1601 0.0000
Sm Mg Ag
1 10 2
Cartesian
0.0000 0.0000 0.0000
1.4247 0.0000 3.5883
2.8494 2.5745 4.7730
2.8494 5.5865 5.7044
2.8494 2.5745 9.5801
2.8494 5.5865 8.6487
1.4247 7.1601 3.5883
2.8494 8.7337 5.7044
2.8494 11.7457 4.7730
2.8494 8.7337 8.6487
2.8494 11.7457 9.5801
1.4247 3.5801 0.0000
1.4247 3.5801 7.1766
```

Most intense lines, 2θ from 15° to 90°, low angle first:
d [Å]	intensity
4.968	302
3.584	553
3.548	445
3.204	435
2.907	385
2.534	654
2.521	655
2.484	1000
2.130	340
1.774	414

---

Starting from a DFT-relaxed cell (GGA-PBE, Alexandria), the powder diffractogram of PmPaSe2N was calculated for Cu Ka.
Lines closer than 0.1° are merged.

Cell and atoms:
```
PmPaSe2N
1.0
4.0013 0.0000 0.0000
0.0000 4.0013 0.0000
0.0000 0.0000 14.1299
Pm Pa Se N
2 2 4 2
Cartesian
1.0003 1.0003 1.4280
3.0010 3.0010 12.7020
1.0003 1.0003 8.2238
3.0010 3.0010 5.9061
1.0003 1.0003 4.4439
1.0003 1.0003 12.5066
3.0010 3.0010 1.6233
3.0010 3.0010 9.6860
1.0003 3.0010 7.0650
3.0010 1.0003 7.0650
```

Most intense lines, 2θ from 15° to 90°, low angle first:
d [Å]	intensity
3.532	280
3.482	472
3.049	287
2.829	1000
2.648	710
2.208	375
2.001	419
1.810	208
1.596	312
1.265	240

---

Starting from a DFT-relaxed cell (GGA-PBE, Alexandria), the powder diffractogram of Mg2ZnReN4 was calculated for Cu Ka.
Lines closer than 0.1° are merged.

Cell and atoms:
```
Mg2ZnReN4
1.0
4.8306 0.0000 0.0000
0.0000 4.8306 0.0000
0.0000 0.0000 8.9151
Mg Zn Re N
4 2 2 8
Cartesian
0.0000 2.4153 2.2288
0.0000 2.4153 6.6863
2.4153 0.0000 2.2288
2.4153 0.0000 6.6863
0.0000 0.0000 0.0000
2.4153 2.4153 4.4575
0.0000 0.0000 4.4575
2.4153 2.4153 0.0000
1.1139 1.1139 5.4652
1.1139 3.7166 3.4499
1.3013 1.3013 1.0076
1.3013 3.5292 7.9074
3.5292 1.3013 7.9074
3.5292 3.5292 1.0076
3.7166 1.1139 3.4499
3.7166 3.7166 5.4652
```

Most intense lines, 2θ from 15° to 90°, low angle first:
d [Å]	intensity
4.458	401
4.247	436
3.416	390
2.711	1000
2.415	243
2.124	199
1.867	144
1.708	156
1.638	270
1.445	279

---

Starting from a DFT-relaxed cell (GGA-PBE, Alexandria), the powder diffractogram of TbHoPtRh was calculated for Cu Ka.
Lines closer than 0.1° are merged.

Cell and atoms:
```
TbHoPtRh
1.0
6.9199 0.0000 0.0000
0.0000 6.9199 0.0000
0.0000 0.0000 6.9199
Tb Ho Pt Rh
4 4 4 4
Cartesian
0.0000 0.0000 0.0000
0.0000 3.4600 3.4600
3.4600 0.0000 3.4600
3.4600 3.4600 0.0000
0.0000 0.0000 3.4600
0.0000 3.4600 0.0000
3.4600 0.0000 0.0000
3.4600 3.4600 3.4600
1.7300 1.7300 5.1900
1.7300 5.1900 1.7300
5.1900 1.7300 1.7300
5.1900 5.1900 5.1900
1.7300 1.7300 1.7300
1.7300 5.1900 5.1900
5.1900 1.7300 5.1900
5.1900 5.1900 1.7300
```

Most intense lines, 2θ from 15° to 90°, low angle first:
d [Å]	intensity
3.995	43
2.447	1000
2.086	25
1.730	176
1.588	11
1.413	360
1.332	9
1.223	112
1.170	9
1.094	167

---

Starting from a DFT-relaxed cell (GGA-PBE, Alexandria), the powder diffractogram of Ac14PmY was calculated for Cu Ka.
Lines closer than 0.1° are merged.

Cell and atoms:
```
Ac14PmY
1.0
7.8898 0.0000 0.0000
0.0000 7.8898 0.0000
0.0000 0.0000 11.2223
Ac Pm Y
14 1 1
Cartesian
0.0000 0.0000 0.0000
0.0000 3.9449 0.0000
0.0000 3.9449 5.6112
1.9747 1.9747 2.8714
1.9747 1.9747 8.3509
1.9747 5.9151 2.8714
1.9747 5.9151 8.3509
3.9449 0.0000 0.0000
3.9449 0.0000 5.6112
3.9449 3.9449 0.0000
5.9151 1.9747 2.8714
5.9151 1.9747 8.3509
5.9151 5.9151 2.8714
5.9151 5.9151 8.3509
0.0000 0.0000 5.6112
3.9449 3.9449 5.6112
```

Most intense lines, 2θ from 15° to 90°, low angle first:
d [Å]	intensity
3.227	1000
2.806	172
2.789	343
1.978	258
1.972	129
1.690	156
1.683	315
1.614	137
1.283	127
1.140	92

---

Starting from a DFT-relaxed cell (GGA-PBE, Alexandria), the powder diffractogram of MnCrNi2 was calculated for Cu Ka.
Lines closer than 0.1° are merged.

Cell and atoms:
```
MnCrNi2
1.0
3.5205 0.0000 0.0000
0.0000 3.5205 0.0000
0.0000 0.0000 7.4053
Mn Cr Ni
2 2 4
Cartesian
0.0000 0.0000 0.0000
1.7602 1.7602 3.7026
0.0000 0.0000 3.7026
1.7602 1.7602 0.0000
0.0000 1.7602 1.8513
0.0000 1.7602 5.5540
1.7602 0.0000 1.8513
1.7602 0.0000 5.5540
```

Most intense lines, 2θ from 15° to 90°, low angle first:
d [Å]	intensity
3.703	8
2.489	7
2.066	1000
1.851	173
1.760	291
1.276	180
1.245	83
1.106	113

---

Starting from a DFT-relaxed cell (GGA-PBE, Alexandria), the powder diffractogram of Tm4SiBr5 was calculated for Cu Ka.
Lines closer than 0.1° are merged.

Cell and atoms:
```
Tm4SiBr5
1.0
8.9660 -1.9925 0.0000
8.9660 1.9925 0.0000
-1.8161 0.0000 8.0640
Tm Si Br
4 1 5
Cartesian
-0.3844 0.0000 1.7711
4.6059 0.0000 7.4330
11.5101 0.0000 0.6311
16.5004 0.0000 6.2929
8.9660 0.0000 0.0000
2.3970 0.0000 2.6570
1.5808 0.0000 6.7719
8.0580 0.0000 4.0320
14.5352 0.0000 1.2921
13.7189 0.0000 5.4070
```

Most intense lines, 2θ from 15° to 90°, low angle first:
d [Å]	intensity
5.370	128
3.188	145
2.917	635
2.869	1000
2.630	172
2.066	170
2.053	354
2.037	319
1.993	183
1.645	174

---

Starting from a DFT-relaxed cell (GGA-PBE, Alexandria), the powder diffractogram of Ho3Tm4 was calculated for Cu Ka.
Lines closer than 0.1° are merged.

Cell and atoms:
```
Ho3Tm4
1.0
3.4925 0.0000 0.0000
0.0000 4.9421 0.0000
0.0000 0.0000 24.4927
Ho Tm
6 8
Cartesian
0.0000 0.0000 0.0000
0.0000 0.0000 3.5011
0.0000 0.0000 20.9915
1.7463 2.4711 8.7452
1.7463 2.4711 12.2463
1.7463 2.4711 15.7475
0.0000 0.0000 6.9931
0.0000 0.0000 10.4942
0.0000 0.0000 13.9985
0.0000 0.0000 17.4996
1.7463 2.4711 1.7522
1.7463 2.4711 5.2533
1.7463 2.4711 19.2394
1.7463 2.4711 22.7405
```

Most intense lines, 2θ from 15° to 90°, low angle first:
d [Å]	intensity
2.854	1000
2.472	506
1.748	299
1.746	60
1.490	426
1.427	123
1.135	90
1.134	90
1.106	85
1.105	85

---

Starting from a DFT-relaxed cell (GGA-PBE, Alexandria), the powder diffractogram of AcTlH was calculated for Cu Ka.
Lines closer than 0.1° are merged.

Cell and atoms:
```
AcTlH
1.0
4.0611 0.0000 0.0000
0.0103 6.1377 0.0000
2.0228 2.9713 6.0706
Ac Tl H
2 2 2
Cartesian
1.0233 3.0120 1.7316
5.0708 6.0970 4.3390
3.0414 3.0311 4.8219
3.0528 6.0779 1.2487
3.0415 6.1141 5.4726
3.0526 2.9948 0.5980
```

Most intense lines, 2θ from 15° to 90°, low angle first:
d [Å]	intensity
3.068	583
3.035	434
2.969	1000
2.946	974
2.175	177
2.031	187
1.756	224
1.744	181
1.742	180
1.693	213

---

Starting from a DFT-relaxed cell (GGA-PBE, Alexandria), the powder diffractogram of LaNiRu was calculated for Cu Ka.
Lines closer than 0.1° are merged.

Cell and atoms:
```
LaNiRu
1.0
10.9911 0.0000 0.0000
0.0000 4.1586 0.0000
-1.9039 0.0000 5.3034
La Ni Ru
4 4 4
Cartesian
0.6836 0.0000 1.5528
2.9081 2.0793 3.7505
6.1791 2.0793 1.5528
8.4036 0.0000 3.7505
0.6910 0.0000 4.6554
2.9006 2.0793 0.6479
6.1866 2.0793 4.6554
8.3962 0.0000 0.6479
-0.1776 2.0793 3.6203
3.7693 0.0000 1.6831
5.3179 0.0000 3.6203
9.2649 2.0793 1.6831
```

Most intense lines, 2θ from 15° to 90°, low angle first:
d [Å]	intensity
3.326	531
2.668	1000
2.652	499
2.586	315
2.327	542
2.275	415
2.160	818
2.079	502
1.535	287
1.466	296

---

Starting from a DFT-relaxed cell (GGA-PBE, Alexandria), the powder diffractogram of Cs2AlAuF6 was calculated for Cu Ka.
Lines closer than 0.1° are merged.

Cell and atoms:
```
Cs2AlAuF6
1.0
-3.4482 3.4482 4.0162
3.4482 -3.4482 4.0162
3.4482 3.4482 -4.0162
Cs Al Au F
2 1 1 6
Cartesian
3.4482 0.0000 2.0081
0.0000 3.4482 2.0081
0.0000 0.0000 0.0000
0.0000 0.0000 4.0162
1.2729 1.2729 0.0000
2.1753 -2.1753 4.0162
0.0000 0.0000 1.9518
0.0000 0.0000 6.0807
-2.1753 2.1753 4.0162
2.1753 2.1753 4.0162
```

Most intense lines, 2θ from 15° to 90°, low angle first:
d [Å]	intensity
5.232	283
3.448	695
3.100	1000
2.879	286
2.438	389
1.917	428
1.735	196
1.550	183
1.542	163
1.223	151

---

Starting from a DFT-relaxed cell (GGA-PBE, Alexandria), the powder diffractogram of Na2Zn2SbO6 was calculated for Cu Ka.
Lines closer than 0.1° are merged.

Cell and atoms:
```
Na2Zn2SbO6
1.0
5.3178 0.0000 0.0000
-2.6589 4.6054 0.0000
0.0000 0.0000 5.6517
Na Zn Sb O
2 2 1 6
Cartesian
0.0000 3.0702 0.0000
2.6589 1.5351 0.0000
0.0000 3.0702 2.8258
2.6589 1.5351 2.8258
0.0000 0.0000 2.8258
-0.8518 1.4753 3.9304
-1.8071 3.1300 1.7213
1.7036 0.0000 3.9304
0.8518 1.4753 1.7213
3.6142 0.0000 1.7213
1.8071 3.1300 3.9304
```

Most intense lines, 2θ from 15° to 90°, low angle first:
d [Å]	intensity
5.652	1000
3.570	182
2.826	156
2.659	502
2.406	505
1.936	692
1.536	364
1.481	139
1.248	119
1.203	126